[1]
Calculated powder XRD pattern
Compound: LiHo2Al
Radiation: a wavelength of 1.5418 Å
Structure: a structure optimized by DFT (GGA-PBE)
Intensities are scaled so that the largest is 100.

Structural model:
```
LiHo2Al
1.0
0.0000 3.6264 3.6264
3.6264 0.0000 3.6264
3.6264 3.6264 0.0000
Li Ho Al
1 2 1
Cartesian
0.0000 0.0000 0.0000
1.8132 1.8132 1.8132
5.4397 5.4397 5.4397
3.6264 3.6264 3.6264
```

The 10 most intense peaks (15 to 90 degrees two-theta), by intensity:
2theta	Rel. int.
35.0	100
24.5	83
62.8	37
56.8	34
43.2	25
50.3	18
84.5	16
79.2	16
73.9	11
89.7	10


[2]
Calculated powder XRD pattern
Compound: ZrSn3
Radiation: a wavelength of 1.5418 Å
Structure: a structure optimized by DFT (GGA-PBE)
Intensities are scaled so that the largest is 100.

Structural model:
```
ZrSn3
1.0
-2.1821 2.1821 5.1205
2.1821 -2.1821 5.1205
2.1821 2.1821 -5.1205
Zr Sn
1 3
Cartesian
0.0000 0.0000 0.0000
2.1821 0.0000 2.5603
0.0000 0.0000 5.1205
0.0000 2.1821 2.5603
```

The 10 most intense peaks (15 to 90 degrees two-theta), by intensity:
2theta	Rel. int.
33.9	100
41.4	29
55.3	25
70.7	25
35.0	23
62.1	18
71.4	12
60.0	10
88.6	7
89.9	4


[3]
Calculated powder XRD pattern
Compound: PmGd3
Radiation: a wavelength of 1.5418 Å
Structure: a structure optimized by DFT (GGA-PBE)
Intensities are scaled so that the largest is 100.

Structural model:
```
PmGd3
1.0
5.0527 0.0000 0.0000
0.0000 5.0527 0.0000
0.0000 0.0000 5.0527
Pm Gd
1 3
Cartesian
0.0000 0.0000 0.0000
0.0000 2.5263 2.5263
2.5263 0.0000 2.5263
2.5263 2.5263 0.0000
```

The 8 most intense peaks (15 to 90 degrees two-theta), by intensity:
2theta	Rel. int.
30.6	100
35.5	51
60.8	43
51.1	36
83.4	18
86.1	17
63.8	12
75.2	6